Entry 1:
For PdPt2Au8, a PBE-relaxed structure gives the simulated PXRD pattern in this record (a wavelength of 1.5418 Å).
Neutral-atom scattering factors, no anomalous dispersion.

Structural model:
a = 7.695 Å, b = 7.695 Å, c = 6.433 Å
α = 104.12°, β = 104.12°, γ = 31.04°
Positions (direct):
Pd (0.000, 0.000, 0.000)
Pt (0.272, 0.272, 0.368)
Pt (0.728, 0.728, 0.632)
Au (0.092, 0.092, 0.456)
Au (0.182, 0.182, 0.911)
Au (0.363, 0.363, 0.815)
Au (0.453, 0.453, 0.269)
Au (0.547, 0.547, 0.731)
Au (0.637, 0.637, 0.185)
Au (0.818, 0.818, 0.089)
Au (0.908, 0.908, 0.544)

Peak list (8 most intense, 2θ from 10° to 80°, low angle first)
2theta	I/Imax
37.98	100
43.87	17
43.97	17
44.58	16
63.85	11
64.41	16
76.64	7
76.79	13

***

Entry 2:
For Pd4PtAu4, a PBE-relaxed structure gives the simulated PXRD pattern in this record (a wavelength of 1.5418 Å).
Neutral-atom scattering factors, no anomalous dispersion.

Structural model:
a = 6.410 Å, b = 6.410 Å, c = 6.410 Å
α = 95.63°, β = 95.63°, γ = 143.49°
Positions (direct):
Pd (0.165, 0.165, 0.330)
Pd (0.165, 0.835, 0.000)
Pd (0.835, 0.165, 0.000)
Pd (0.835, 0.835, 0.670)
Pt (0.500, 0.500, 0.000)
Au (0.171, 0.500, 0.671)
Au (0.500, 0.171, 0.671)
Au (0.500, 0.829, 0.329)
Au (0.829, 0.500, 0.329)

Peak list (8 most intense, 2θ from 10° to 80°, low angle first)
2theta	I/Imax
24.46	5
38.56	100
44.66	33
45.16	16
65.01	11
65.39	21
78.20	26
78.92	13

***

Entry 3:
For Pd8PtAu3, a PBE-relaxed structure gives the simulated PXRD pattern in this record (a wavelength of 1.5418 Å).
Neutral-atom scattering factors, no anomalous dispersion.

Structural model:
a = 4.897 Å, b = 4.902 Å, c = 8.485 Å
α = 90.12°, β = 106.45°, γ = 99.55°
Positions (direct):
Pd (0.000, 0.004, 0.163)
Pd (0.000, 0.996, 0.837)
Pd (0.001, 0.501, 0.669)
Pd (0.499, 0.748, 0.583)
Pd (0.500, 0.253, 0.083)
Pd (0.500, 0.747, 0.917)
Pd (0.501, 0.252, 0.417)
Pd (0.999, 0.499, 0.331)
Pt (0.000, 0.500, 0.000)
Au (0.000, 0.000, 0.500)
Au (0.498, 0.751, 0.249)
Au (0.502, 0.249, 0.751)

Peak list (8 most intense, 2θ from 10° to 80°, low angle first)
2theta	I/Imax
38.98	100
45.18	16
45.30	16
45.46	16
65.98	11
66.10	16
79.24	9
79.62	12